Starting from DFT lattice parameters and positions (PBE), the powder diffractogram of SrAu2F12 was calculated for Cu Kα (weighted mean of Kα1 and Kα2).
Neutral-atom scattering factors, no anomalous dispersion.

Crystal structure
Lattice parameters (Å, degrees): 10.377 10.377 10.377 90.00 90.00 90.00
Space group Pm-3m (No. 221)
Unique sites:
Sr1 0.000 0.000 0.000 (multiplicity 1)
Sr2 0.000 0.000 0.500 (multiplicity 3)
Au1 0.251 0.251 0.251 (multiplicity 8)
F1 0.123 0.123 0.313 (multiplicity 24)
F2 0.184 0.372 0.372 (multiplicity 24)

Principal peaks in the range 2θ = 5–70°, sorted by position:
| hkl | 2θ/deg | I/Imax |
| --- | --- | --- |
| 2 0 0 | 17.1 | 63.3 |
| 2 2 0 | 24.3 | 100.0 |
| 2 2 2 | 29.8 | 16.0 |
| 4 0 0 | 34.6 | 9.0 |
| 4 2 0 | 38.8 | 16.7 |
| 4 2 2 | 42.7 | 45.8 |
| 4 4 0 | 49.7 | 20.0 |
| 4 4 2 | 52.9 | 15.1 |
| 6 2 0 | 56.1 | 20.6 |
| 6 4 2 | 67.6 | 23.9 |

***

Starting from DFT lattice parameters and positions (PBE), the powder diffractogram of La6Co13Sn was calculated for Cu Kα (weighted mean of Kα1 and Kα2).
Neutral-atom scattering factors, no anomalous dispersion.

Crystal structure
Lattice parameters (Å, degrees): 8.071 8.071 23.291 90.00 90.00 90.00
Space group I4/mcm (No. 140)
Unique sites:
La1 0.000 0.000 0.100 (multiplicity 8)
La2 0.163 0.337 0.179 (multiplicity 16)
Co1 0.000 0.500 0.000 (multiplicity 4)
Co2 0.065 0.214 0.500 (multiplicity 16)
Co3 0.114 0.386 0.413 (multiplicity 16)
Co4 0.177 0.323 0.055 (multiplicity 16)
Sn1 0.000 0.000 0.250 (multiplicity 4)

Principal peaks in the range 2θ = 5–70°, sorted by position:
| hkl | 2θ/deg | I/Imax |
| --- | --- | --- |
| 0 0 2 | 7.6 | 99.9 |
| 2 1 3 | 27.2 | 91.1 |
| 1 1 6 | 27.8 | 32.8 |
| 2 2 0 | 31.3 | 98.0 |
| 2 0 6 | 32.0 | 54.2 |
| 3 1 0 | 35.2 | 100.0 |
| 2 0 8 | 38.1 | 48.8 |
| 2 1 9 | 43.0 | 69.8 |
| 4 1 1 | 46.6 | 48.5 |
| 4 2 0 | 50.6 | 44.5 |

***

Starting from DFT lattice parameters and positions (PBE), the powder diffractogram of Nd2Sm5Sc was calculated for Cu Kα (weighted mean of Kα1 and Kα2).
Neutral-atom scattering factors, no anomalous dispersion.

Crystal structure
Lattice parameters (Å, degrees): 10.136 14.418 3.602 90.00 90.00 90.00
Space group Cmmm (No. 65)
Unique sites:
Nd1 0.000 0.250 0.000 (multiplicity 4)
Sm1 0.000 0.000 0.000 (multiplicity 2)
Sm2 0.242 0.379 0.500 (multiplicity 8)
Sc1 0.000 0.500 0.000 (multiplicity 2)

Principal peaks in the range 2θ = 5–70°, sorted by position:
| hkl | 2θ/deg | I/Imax |
| --- | --- | --- |
| 1 1 0 | 10.7 | 3.2 |
| 1 1 1 | 27.0 | 1.8 |
| 2 0 1 | 30.4 | 100.0 |
| 0 4 1 | 35.2 | 34.0 |
| 4 0 0 | 35.4 | 16.5 |
| 0 0 2 | 50.7 | 12.0 |
| 4 4 1 | 50.8 | 23.4 |
| 2 4 2 | 60.3 | 28.2 |
| 6 0 1 | 60.5 | 13.5 |
| 4 0 2 | 63.3 | 12.0 |

***

Starting from DFT lattice parameters and positions (PBE), the powder diffractogram of NbC2NCl8 was calculated for Cu Kα (weighted mean of Kα1 and Kα2).
Neutral-atom scattering factors, no anomalous dispersion.

Crystal structure
Lattice parameters (Å, degrees): 8.938 9.798 17.116 90.00 90.00 90.00
Space group Cmc2_1 (No. 36)
Unique sites:
Nb1 0.000 0.099 0.000 (multiplicity 4)
C1 0.000 0.332 0.845 (multiplicity 4)
C2 0.000 0.419 0.775 (multiplicity 4)
N1 0.000 0.261 0.899 (multiplicity 4)
Cl1 0.000 0.051 0.392 (multiplicity 4)
Cl2 0.000 0.062 0.597 (multiplicity 4)
Cl3 0.000 0.294 0.080 (multiplicity 4)
Cl4 0.000 0.408 0.305 (multiplicity 4)
Cl5 0.164 0.379 0.720 (multiplicity 8)
Cl6 0.240 0.378 0.487 (multiplicity 8)

Principal peaks in the range 2θ = 5–70°, sorted by position:
| hkl | 2θ/deg | I/Imax |
| --- | --- | --- |
| 0 0 2 | 10.3 | 31.4 |
| 1 1 1 | 14.4 | 32.6 |
| 1 1 2 | 17.0 | 100.0 |
| 0 2 1 | 18.8 | 29.6 |
| 2 0 0 | 19.9 | 22.9 |
| 1 1 3 | 20.6 | 19.3 |
| 0 2 3 | 23.9 | 22.7 |
| 0 2 5 | 31.9 | 51.1 |
| 1 3 3 | 33.1 | 25.2 |
| 4 2 3 | 47.5 | 17.1 |

***

Starting from DFT lattice parameters and positions (PBE), the powder diffractogram of LiCeH6Os was calculated for Cu Kα (weighted mean of Kα1 and Kα2).
Neutral-atom scattering factors, no anomalous dispersion.

Crystal structure
Lattice parameters (Å, degrees): 4.6091 4.6091 4.3868 90.00 90.00 120.00
Space group P-6m2 (No. 187)
Unique sites:
Li1 0.0000 0.0000 0.0000 (multiplicity 1)
Ce1 0.6667 0.3333 0.5000 (multiplicity 1)
H1 0.1788 0.3577 0.2682 (multiplicity 6)
Os1 0.3333 0.6667 0.0000 (multiplicity 1)

Principal peaks in the range 2θ = 5–70°, sorted by position:
| hkl | 2θ/deg | I/Imax |
| --- | --- | --- |
| 1 0 0 | 22.3 | 35.6 |
| 1 0 1 | 30.3 | 100.0 |
| 1 1 0 | 39.1 | 34.1 |
| 0 0 2 | 41.2 | 9.6 |
| 2 0 0 | 45.4 | 5.6 |
| 1 0 2 | 47.3 | 9.8 |
| 2 0 1 | 50.2 | 24.9 |
| 1 1 2 | 58.1 | 22.2 |
| 2 1 1 | 65.4 | 22.5 |
| 1 0 3 | 68.3 | 9.9 |

***

Starting from DFT lattice parameters and positions (PBE), the powder diffractogram of BaAcMgTl was calculated for Cu Kα (weighted mean of Kα1 and Kα2).
Neutral-atom scattering factors, no anomalous dispersion.

Crystal structure
Lattice parameters (Å, degrees): 4.206 4.206 8.546 90.00 90.00 90.00
Space group P4mm (No. 99)
Unique sites:
Ba1 0.000 0.000 0.000 (multiplicity 1)
Ac1 0.000 0.000 0.509 (multiplicity 1)
Mg1 0.500 0.500 0.278 (multiplicity 1)
Tl1 0.500 0.500 0.732 (multiplicity 1)

Principal peaks in the range 2θ = 5–70°, sorted by position:
| hkl | 2θ/deg | I/Imax |
| --- | --- | --- |
| 0 0 1 | 10.4 | 39.2 |
| 1 0 1 | 23.6 | 15.9 |
| 1 0 2 | 29.8 | 100.0 |
| 1 1 0 | 30.0 | 50.3 |
| 1 1 1 | 31.9 | 12.3 |
| 1 0 3 | 38.2 | 11.0 |
| 2 0 0 | 43.0 | 19.1 |
| 1 1 4 | 52.8 | 19.0 |
| 2 1 2 | 53.2 | 40.2 |
| 2 0 4 | 61.9 | 11.8 |

***

Starting from DFT lattice parameters and positions (PBE), the powder diffractogram of Ti2BiF was calculated for Cu Kα (weighted mean of Kα1 and Kα2).
Neutral-atom scattering factors, no anomalous dispersion.

Crystal structure
Lattice parameters (Å, degrees): 4.865 4.865 13.674 90.00 90.00 90.00
Space group I4_1/amd (No. 141, origin choice 2)
Unique sites:
Ti1 0.000 0.000 0.000 (multiplicity 8)
Bi1 0.000 0.250 0.375 (multiplicity 4)
F1 0.000 0.250 0.875 (multiplicity 4)

Principal peaks in the range 2θ = 5–70°, sorted by position:
| hkl | 2θ/deg | I/Imax |
| --- | --- | --- |
| 1 0 1 | 19.4 | 32.6 |
| 1 0 3 | 26.8 | 76.8 |
| 1 1 2 | 29.1 | 100.0 |
| 2 0 0 | 37.0 | 26.6 |
| 1 0 5 | 37.7 | 31.6 |
| 2 1 1 | 42.0 | 46.9 |
| 2 0 4 | 45.8 | 29.2 |
| 1 1 6 | 47.9 | 25.6 |
| 2 2 4 | 60.2 | 24.8 |
| 3 1 2 | 61.8 | 23.9 |

***

Starting from DFT lattice parameters and positions (PBE), the powder diffractogram of KTlFe2 was calculated for Cu Kα (weighted mean of Kα1 and Kα2).
Neutral-atom scattering factors, no anomalous dispersion.

Crystal structure
Lattice parameters (Å, degrees): 8.786 4.078 6.572 90.00 110.88 90.00
Space group C2/m (No. 12)
Unique sites:
K1 0.000 0.000 0.000 (multiplicity 2)
Tl1 0.000 0.500 0.500 (multiplicity 2)
Fe1 0.210 0.000 0.561 (multiplicity 4)

Principal peaks in the range 2θ = 5–70°, sorted by position:
| hkl | 2θ/deg | I/Imax |
| --- | --- | --- |
| 0 0 1 | 14.4 | 100.0 |
| 1 1 0 | 24.4 | 13.1 |
| 1 1 -1 | 26.3 | 19.5 |
| 0 0 2 | 29.1 | 28.4 |
| 1 1 1 | 30.4 | 31.1 |
| 3 1 -1 | 37.9 | 31.4 |
| 3 1 0 | 39.7 | 13.4 |
| 3 1 -2 | 41.9 | 15.3 |
| 3 1 1 | 46.5 | 11.5 |
| 3 1 -3 | 50.4 | 14.0 |

***

Starting from DFT lattice parameters and positions (PBE), the powder diffractogram of CrMo2Rh9 was calculated for Cu Kα (weighted mean of Kα1 and Kα2).
Neutral-atom scattering factors, no anomalous dispersion.

Crystal structure
Lattice parameters (Å, degrees): 3.851 3.851 11.541 90.00 90.00 90.00
Space group P4/mmm (No. 123)
Unique sites:
Cr1 0.000 0.000 0.000 (multiplicity 1)
Mo1 0.000 0.000 0.328 (multiplicity 2)
Rh1 0.000 0.500 0.167 (multiplicity 4)
Rh2 0.000 0.500 0.500 (multiplicity 2)
Rh3 0.500 0.500 0.000 (multiplicity 1)
Rh4 0.500 0.500 0.334 (multiplicity 2)

Principal peaks in the range 2θ = 5–70°, sorted by position:
| hkl | 2θ/deg | I/Imax |
| --- | --- | --- |
| 0 0 1 | 7.7 | 1.3 |
| 0 0 2 | 15.4 | 0.6 |
| 0 0 3 | 23.1 | 1.0 |
| 1 0 2 | 27.9 | 0.6 |
| 1 0 3 | 32.9 | 0.9 |
| 1 1 3 | 40.6 | 100.0 |
| 2 0 0 | 47.2 | 48.0 |
| 1 0 6 | 53.2 | 0.5 |
| 2 2 0 | 69.0 | 29.9 |

***

Starting from DFT lattice parameters and positions (PBE), the powder diffractogram of Ba2In2Pd3 was calculated for Cu Kα (weighted mean of Kα1 and Kα2).
Neutral-atom scattering factors, no anomalous dispersion.

Crystal structure
Lattice parameters (Å, degrees): 12.744 4.312 7.612 90.00 118.50 90.00
Space group C2/m (No. 12)
Unique sites:
Ba1 0.129 0.000 0.283 (multiplicity 4)
In1 0.161 0.000 0.781 (multiplicity 4)
Pd1 0.000 0.500 0.500 (multiplicity 2)
Pd2 0.093 0.500 0.931 (multiplicity 4)

Principal peaks in the range 2θ = 5–70°, sorted by position:
| hkl | 2θ/deg | I/Imax |
| --- | --- | --- |
| 3 1 -1 | 29.6 | 29.2 |
| 4 0 -2 | 30.3 | 11.8 |
| 1 1 -2 | 31.7 | 100.0 |
| 4 0 0 | 32.0 | 17.2 |
| 3 1 -2 | 33.3 | 24.3 |
| 2 0 2 | 37.3 | 20.7 |
| 4 0 -3 | 37.8 | 34.9 |
| 5 1 -1 | 41.6 | 15.9 |
| 0 2 0 | 41.9 | 34.7 |
| 7 1 -2 | 54.7 | 17.2 |